# 1
Computed XRD peak list
Compound: SrSmEuNbO6
Radiation: Cu Kα (λ = 1.5418 Å)
Structure: a DFT-relaxed cell (GGA-PBE, the Materials Project)

Peak list (12 most intense, 2θ = 5–70°, in order of falling intensity)
two_theta  I_rel  (hkl)
30.01  100  1 1 -2
43.10  71  0 0 4
30.16  49  1 -1 2
30.27  49  1 1 2
30.49  47  2 0 0
29.71  45  0 2 0
54.14  24  3 1 2
53.75  22  3 1 -2
53.13  18  0 2 -4
52.97  14  1 -3 2
53.47  13  2 0 -4
53.37  10  0 2 4

Crystal structure
```
data_SrSmEuNbO6
_space_group_name_H-M_alt 'P -1'
_space_group_IT_number 2
_cell_length_a 5.865
_cell_length_b 6.014
_cell_length_c 8.391
_cell_angle_alpha 90.26
_cell_angle_beta 90.54
_cell_angle_gamma 90.03
loop_
_space_group_symop_operation_xyz
'x,y,z'
'-x,-y,-z'
loop_
_atom_site_label
_atom_site_type_symbol
_atom_site_fract_x
_atom_site_fract_y
_atom_site_fract_z
Sr1 Sr 0.011 0.047 0.250
Sm1 Sm 0.000 0.500 0.500
Sm2 Sm 0.500 0.000 0.000
Eu1 Eu 0.487 0.551 0.251
Nb1 Nb 0.000 0.500 0.000
Nb2 Nb 0.500 0.000 0.500
O1 O 0.104 0.531 0.769
O2 O 0.184 0.779 0.055
O3 O 0.221 0.811 0.449
O4 O 0.280 0.314 0.054
O5 O 0.320 0.283 0.444
O6 O 0.406 0.039 0.732
```

---

# 2
Computed XRD peak list
Compound: MgTi2Zn2O6
Radiation: Cu Kα (λ = 1.5418 Å)
Structure: a DFT-relaxed cell (GGA-PBE, the Materials Project)

Peak list (12 most intense, 2θ = 5–70°, in order of falling intensity)
two_theta  I_rel  (hkl)
34.33  100  1 1 0
35.82  84  0 1 5
50.45  62  2 0 5
61.49  42  3 0 0
38.87  32  1 1 3
62.46  32  3 -2 5
30.90  30  1 0 4
46.83  18  0 2 4
66.36  15  2 -1 9
59.34  13  2 1 4
22.93  12  0 1 2
17.67  12  0 0 3

Crystal structure
```
data_MgTi2Zn2O6
_space_group_name_H-M_alt 'R 3'
_space_group_IT_number 146
_space_group_name_Hall 'R 3'
_cell_length_a 5.2239
_cell_length_b 5.2239
_cell_length_c 15.0558
_cell_angle_alpha 90.00
_cell_angle_beta 90.00
_cell_angle_gamma 120.00
loop_
_atom_site_label
_atom_site_type_symbol
_atom_site_fract_x
_atom_site_fract_y
_atom_site_fract_z
Mg1 Mg 0.0000 0.0000 0.0000
Ti1 Ti 0.0000 0.0000 0.1860
Ti2 Ti 0.0000 0.0000 0.6469
Zn1 Zn 0.0000 0.0000 0.4141
Zn2 Zn 0.0000 0.0000 0.8291
O1 O 0.0013 0.6657 0.5838
O2 O 0.0404 0.3388 0.7481
```

---

# 3
Computed XRD peak list
Compound: LiCuPO4
Radiation: Cu Kα (λ = 1.5418 Å)
Structure: a DFT-relaxed cell (GGA-PBE, the Materials Project)

Peak list (12 most intense, 2θ = 5–70°, in order of falling intensity)
two_theta  I_rel  (hkl)
24.15  100  0 2 1
35.42  95  1 1 5
11.48  69  0 0 2
23.11  53  0 0 4
30.93  28  1 2 2
30.72  25  1 1 4
52.39  24  1 4 2
33.62  24  1 2 3
45.98  22  1 1 7
28.32  19  1 0 4
49.47  17  0 4 2
23.44  14  0 2 0

Crystal structure
```
data_LiCuPO4
_space_group_name_H-M_alt 'P b c a'
_space_group_IT_number 61
_cell_length_a 5.471
_cell_length_b 7.590
_cell_length_c 15.418
_cell_angle_alpha 90.00
_cell_angle_beta 90.00
_cell_angle_gamma 90.00
loop_
_space_group_symop_operation_xyz
'x,y,z'
'-x,-y,-z'
'-x+1/2,-y,z+1/2'
'x+1/2,y,-z+1/2'
'x+1/2,-y+1/2,-z'
'-x+1/2,y+1/2,z'
'-x,y+1/2,-z+1/2'
'x,-y+1/2,z+1/2'
loop_
_atom_site_label
_atom_site_type_symbol
_atom_site_fract_x
_atom_site_fract_y
_atom_site_fract_z
Li1 Li 0.137 0.194 0.013
Cu1 Cu 0.101 0.129 0.190
P1 P 0.111 0.009 0.379
O1 O 0.008 0.680 0.884
O2 O 0.096 0.649 0.121
O3 O 0.221 0.539 0.457
O4 O 0.236 0.528 0.291
```